1.
Diffraction record for AcAgPd2. The powder diffraction line list is theoretical, not measured: it uses a DFT-relaxed cell (GGA-PBE, Alexandria) and Cu Kα (weighted mean of Kα1 and Kα2).
No peak broadening, texture or thermal motion is included.

Principal peaks in the range 15 to 90 degrees two-theta, in order of falling intensity:
| two_theta | I (rel.) |
| --- | --- |
| 32.02 | 100 |
| 42.40 | 23 |
| 37.87 | 23 |
| 50.39 | 20 |
| 44.02 | 15 |
| 62.77 | 15 |

Atomic structure:
Cell lengths 4.1141, 19.0819, 4.7512 Å; angles 90.00, 90.00, 90.00 degrees
Element x y z (fractional)
Ac (0.0000, 0.1024, 0.2500)
Ac (0.0000, 0.8976, 0.7500)
Ac (0.5000, 0.3976, 0.7500)
Ac (0.5000, 0.6024, 0.2500)
Ag (0.0000, 0.3312, 0.2500)
Ag (0.0000, 0.6688, 0.7500)
Ag (0.5000, 0.1688, 0.7500)
Ag (0.5000, 0.8312, 0.2500)
Pd (0.0000, 0.2615, 0.7500)
Pd (0.0000, 0.4700, 0.2500)
Pd (0.0000, 0.5300, 0.7500)
Pd (0.0000, 0.7385, 0.2500)
Pd (0.5000, 0.0300, 0.7500)
Pd (0.5000, 0.2385, 0.2500)
Pd (0.5000, 0.7615, 0.7500)
Pd (0.5000, 0.9700, 0.2500)

2.
Diffraction record for CrFe5Ir6. The powder diffraction line list is theoretical, not measured: it uses a DFT-relaxed cell (GGA-PBE, Alexandria) and Cu Kα (weighted mean of Kα1 and Kα2).
No peak broadening, texture or thermal motion is included.

Principal peaks in the range 15 to 90 degrees two-theta, in order of falling intensity:
| two_theta | I (rel.) |
| --- | --- |
| 41.75 | 100 |
| 47.88 | 34 |
| 24.39 | 28 |
| 33.35 | 26 |
| 84.98 | 26 |
| 71.72 | 20 |

Atomic structure:
Cell lengths 7.0302, 7.0302, 7.0302 Å; angles 148.64, 117.45, 71.64 degrees
Element x y z (fractional)
Cr (0.0000, 0.0000, 0.0000)
Fe (0.1645, 0.6645, 0.5000)
Fe (0.3355, 0.3355, 0.0000)
Fe (0.5000, 0.0000, 0.5000)
Fe (0.6645, 0.6645, 0.0000)
Fe (0.8355, 0.3355, 0.5000)
Ir (0.0809, 0.8334, 0.2475)
Ir (0.2465, 0.5000, 0.7465)
Ir (0.4141, 0.1666, 0.2475)
Ir (0.5859, 0.8334, 0.7525)
Ir (0.7535, 0.5000, 0.2535)
Ir (0.9191, 0.1666, 0.7525)

3.
Diffraction record for Er3Mg2Ag2. The powder diffraction line list is theoretical, not measured: it uses a DFT-relaxed cell (GGA-PBE, Alexandria) and Cu Kα (weighted mean of Kα1 and Kα2).
No peak broadening, texture or thermal motion is included.

Principal peaks in the range 15 to 90 degrees two-theta, in order of falling intensity:
| two_theta | I (rel.) |
| --- | --- |
| 36.43 | 100 |
| 33.35 | 80 |
| 35.77 | 77 |
| 37.79 | 33 |
| 60.74 | 30 |
| 64.59 | 27 |

Atomic structure:
Cell lengths 3.5268, 29.0363, 3.4747 Å; angles 90.00, 90.00, 90.00 degrees
Element x y z (fractional)
Er (0.0000, 0.0000, 0.0000)
Er (0.0000, 0.1279, 0.0000)
Er (0.0000, 0.8721, 0.0000)
Er (0.5000, 0.3721, 0.0000)
Er (0.5000, 0.5000, 0.0000)
Er (0.5000, 0.6279, 0.0000)
Mg (0.0000, 0.2935, 0.5000)
Mg (0.0000, 0.7065, 0.5000)
Mg (0.5000, 0.2065, 0.5000)
Mg (0.5000, 0.7935, 0.5000)
Ag (0.0000, 0.4355, 0.5000)
Ag (0.0000, 0.5645, 0.5000)
Ag (0.5000, 0.0645, 0.5000)
Ag (0.5000, 0.9355, 0.5000)

4.
Diffraction record for LiMg2Re. The powder diffraction line list is theoretical, not measured: it uses a DFT-relaxed cell (GGA-PBE, Alexandria) and Cu Kα (weighted mean of Kα1 and Kα2).
No peak broadening, texture or thermal motion is included.

Principal peaks in the range 15 to 90 degrees two-theta, in order of falling intensity:
| two_theta | I (rel.) |
| --- | --- |
| 39.09 | 100 |
| 35.28 | 71 |
| 18.83 | 50 |
| 44.82 | 42 |
| 28.41 | 29 |
| 38.20 | 26 |

Atomic structure:
Cell lengths 3.2837, 4.4493, 9.4243 Å; angles 90.00, 90.00, 90.00 degrees
Element x y z (fractional)
Li (0.0000, 0.0000, 0.0000)
Li (0.5000, 0.5000, 0.0000)
Mg (0.0000, 0.5000, 0.2600)
Mg (0.0000, 0.5000, 0.7400)
Mg (0.5000, 0.0000, 0.2600)
Mg (0.5000, 0.0000, 0.7400)
Re (0.0000, 0.0000, 0.5000)
Re (0.5000, 0.5000, 0.5000)

5.
Diffraction record for La4NdSm2Er. The powder diffraction line list is theoretical, not measured: it uses a DFT-relaxed cell (GGA-PBE, Alexandria) and Cu Kα (weighted mean of Kα1 and Kα2).
No peak broadening, texture or thermal motion is included.

Principal peaks in the range 15 to 90 degrees two-theta, in order of falling intensity:
| two_theta | I (rel.) |
| --- | --- |
| 29.77 | 100 |
| 34.10 | 17 |
| 34.31 | 17 |
| 35.12 | 16 |
| 58.39 | 15 |
| 58.67 | 15 |

Atomic structure:
Cell lengths 5.2269, 5.2587, 10.2205 Å; angles 90.00, 90.00, 90.00 degrees
Element x y z (fractional)
La (0.0000, 0.0000, 0.2473)
La (0.0000, 0.0000, 0.7527)
La (0.5000, 0.5000, 0.2476)
La (0.5000, 0.5000, 0.7524)
Nd (0.0000, 0.5000, 0.5000)
Sm (0.0000, 0.5000, 0.0000)
Sm (0.5000, 0.0000, 0.5000)
Er (0.5000, 0.0000, 0.0000)

6.
Diffraction record for Ho2Er3Sc5. The powder diffraction line list is theoretical, not measured: it uses a DFT-relaxed cell (GGA-PBE, Alexandria) and Cu Kα (weighted mean of Kα1 and Kα2).
No peak broadening, texture or thermal motion is included.

Principal peaks in the range 15 to 90 degrees two-theta, in order of falling intensity:
| two_theta | I (rel.) |
| --- | --- |
| 32.36 | 100 |
| 37.61 | 46 |
| 32.46 | 33 |
| 64.57 | 31 |
| 54.12 | 23 |
| 54.25 | 22 |

Atomic structure:
Cell lengths 8.2970, 8.3006, 8.9432 Å; angles 72.23, 89.96, 70.38 degrees
Element x y z (fractional)
Ho (0.0764, 0.2745, 0.1039)
Ho (0.3721, 0.3703, 0.5035)
Ho (0.6279, 0.6297, 0.4965)
Ho (0.9236, 0.7256, 0.8961)
Er (0.1810, 0.9768, 0.8941)
Er (0.2239, 0.8253, 0.3042)
Er (0.3287, 0.5216, 0.1016)
Er (0.6713, 0.4784, 0.8984)
Er (0.7761, 0.1747, 0.6958)
Er (0.8190, 0.0232, 0.1059)
Sc (0.0278, 0.4274, 0.6965)
Sc (0.1248, 0.1248, 0.4996)
Sc (0.2730, 0.6759, 0.6988)
Sc (0.4243, 0.2233, 0.8997)
Sc (0.4767, 0.0740, 0.3020)
Sc (0.5233, 0.9260, 0.6980)
Sc (0.5757, 0.7767, 0.1003)
Sc (0.7270, 0.3241, 0.3012)
Sc (0.8752, 0.8752, 0.5004)
Sc (0.9722, 0.5726, 0.3035)

7.
Diffraction record for Pm2Sm5Y12. The powder diffraction line list is theoretical, not measured: it uses a DFT-relaxed cell (GGA-PBE, Alexandria) and Cu Kα (weighted mean of Kα1 and Kα2).
No peak broadening, texture or thermal motion is included.

Principal peaks in the range 15 to 90 degrees two-theta, in order of falling intensity:
| two_theta | I (rel.) |
| --- | --- |
| 32.81 | 100 |
| 31.02 | 72 |
| 31.55 | 61 |
| 31.25 | 52 |
| 29.00 | 35 |
| 32.35 | 32 |

Atomic structure:
Cell lengths 6.1874, 9.6893, 11.2243 Å; angles 79.01, 76.58, 76.77 degrees
Element x y z (fractional)
Pm (0.1791, 0.4323, 0.3673)
Pm (0.8209, 0.5677, 0.6327)
Sm (0.0000, 0.0000, 0.0000)
Sm (0.2793, 0.4733, 0.7865)
Sm (0.4626, 0.8970, 0.1524)
Sm (0.5374, 0.1030, 0.8476)
Sm (0.7207, 0.5267, 0.2135)
Y (0.0798, 0.1980, 0.6881)
Y (0.1906, 0.0713, 0.4047)
Y (0.2121, 0.2675, 0.1026)
Y (0.2555, 0.6307, 0.0531)
Y (0.3107, 0.8342, 0.7451)
Y (0.3717, 0.6962, 0.4719)
Y (0.6283, 0.3038, 0.5281)
Y (0.6893, 0.1658, 0.2549)
Y (0.7445, 0.3693, 0.9469)
Y (0.7879, 0.7325, 0.8974)
Y (0.8094, 0.9287, 0.5953)
Y (0.9202, 0.8020, 0.3119)

8.
Diffraction record for PmTcHO6. The powder diffraction line list is theoretical, not measured: it uses a DFT-relaxed cell (GGA-PBE, Alexandria) and Cu Kα (weighted mean of Kα1 and Kα2).
No peak broadening, texture or thermal motion is included.

Principal peaks in the range 15 to 90 degrees two-theta, in order of falling intensity:
| two_theta | I (rel.) |
| --- | --- |
| 27.87 | 100 |
| 24.84 | 69 |
| 23.22 | 62 |
| 29.27 | 58 |
| 30.52 | 42 |
| 19.56 | 31 |

Atomic structure:
Cell lengths 4.2342, 5.0169, 5.0903 Å; angles 94.72, 92.85, 114.41 degrees
Element x y z (fractional)
Pm (0.0000, 0.0000, 0.0000)
Tc (0.6185, 0.3623, 0.5282)
H (0.3727, 0.8068, 0.5930)
O (0.1869, 0.3248, 0.4191)
O (0.4713, 0.4775, 0.8711)
O (0.4796, 0.9803, 0.7242)
O (0.5572, 0.0838, 0.2503)
O (0.8636, 0.6988, 0.4048)
O (0.9643, 0.4813, 0.8479)

9.
Diffraction record for ZnP2. The powder diffraction line list is theoretical, not measured: it uses a DFT-relaxed cell (GGA-PBE, Alexandria) and Cu Kα (weighted mean of Kα1 and Kα2).
No peak broadening, texture or thermal motion is included.

Principal peaks in the range 15 to 90 degrees two-theta, in order of falling intensity:
| two_theta | I (rel.) |
| --- | --- |
| 28.07 | 100 |
| 26.42 | 56 |
| 50.51 | 43 |
| 23.83 | 38 |
| 43.06 | 30 |
| 31.98 | 28 |

Atomic structure:
Cell lengths 8.8885, 7.3226, 7.6071 Å; angles 90.00, 102.37, 90.00 degrees
Element x y z (fractional)
Zn (0.0808, 0.2469, 0.3940)
Zn (0.0808, 0.2531, 0.8940)
Zn (0.3925, 0.5961, 0.2246)
Zn (0.3925, 0.9039, 0.7246)
Zn (0.6075, 0.0961, 0.2754)
Zn (0.6075, 0.4039, 0.7754)
Zn (0.9192, 0.7469, 0.1060)
Zn (0.9192, 0.7531, 0.6060)
P (0.0779, 0.7441, 0.8954)
P (0.0779, 0.7559, 0.3954)
P (0.2352, 0.5194, 0.4409)
P (0.2352, 0.9806, 0.9409)
P (0.2420, 0.5161, 0.9276)
P (0.2420, 0.9839, 0.4276)
P (0.3746, 0.5732, 0.7164)
P (0.3746, 0.9268, 0.2164)
P (0.6254, 0.0732, 0.7836)
P (0.6254, 0.4268, 0.2836)
P (0.7580, 0.0161, 0.5724)
P (0.7580, 0.4839, 0.0724)
P (0.7648, 0.0194, 0.0591)
P (0.7648, 0.4806, 0.5591)
P (0.9221, 0.2441, 0.6046)
P (0.9221, 0.2559, 0.1046)

10.
Diffraction record for TlW4S8. The powder diffraction line list is theoretical, not measured: it uses a DFT-relaxed cell (GGA-PBE, Alexandria) and Cu Kα (weighted mean of Kα1 and Kα2).
No peak broadening, texture or thermal motion is included.

Principal peaks in the range 15 to 90 degrees two-theta, in order of falling intensity:
| two_theta | I (rel.) |
| --- | --- |
| 31.99 | 100 |
| 42.31 | 65 |
| 40.15 | 61 |
| 22.71 | 44 |
| 20.09 | 43 |
| 15.09 | 43 |

Atomic structure:
Cell lengths 8.5885, 8.5885, 11.7575 Å; angles 130.34, 130.34, 21.87 degrees
Element x y z (fractional)
Tl (0.0000, 0.0000, 0.0000)
W (0.1706, 0.1706, 0.4815)
W (0.3176, 0.3176, 0.1360)
W (0.6824, 0.6824, 0.8640)
W (0.8294, 0.8294, 0.5185)
S (0.0418, 0.0418, 0.7417)
S (0.3106, 0.3106, 0.9259)
S (0.3549, 0.3549, 0.6923)
S (0.3632, 0.3632, 0.4025)
S (0.6368, 0.6368, 0.5975)
S (0.6451, 0.6451, 0.3077)
S (0.6894, 0.6894, 0.0741)
S (0.9582, 0.9582, 0.2583)

11.
Diffraction record for La4Pr3Ni2. The powder diffraction line list is theoretical, not measured: it uses a DFT-relaxed cell (GGA-PBE, Alexandria) and Cu Kα (weighted mean of Kα1 and Kα2).
No peak broadening, texture or thermal motion is included.

Principal peaks in the range 15 to 90 degrees two-theta, in order of falling intensity:
| two_theta | I (rel.) |
| --- | --- |
| 29.02 | 100 |
| 27.59 | 90 |
| 33.30 | 61 |
| 32.84 | 52 |
| 32.26 | 42 |
| 47.48 | 37 |

Atomic structure:
Cell lengths 6.5280, 6.5280, 8.9788 Å; angles 95.30, 95.30, 48.66 degrees
Element x y z (fractional)
La (0.1401, 0.1401, 0.4373)
La (0.2845, 0.2845, 0.8529)
La (0.7155, 0.7155, 0.1471)
La (0.8599, 0.8599, 0.5627)
Pr (0.0000, 0.0000, 0.0000)
Pr (0.4255, 0.4255, 0.2346)
Pr (0.5745, 0.5745, 0.7654)
Ni (0.3937, 0.3937, 0.5418)
Ni (0.6063, 0.6063, 0.4582)

12.
Diffraction record for Hf2MgPd8. The powder diffraction line list is theoretical, not measured: it uses a DFT-relaxed cell (GGA-PBE, Alexandria) and Cu Kα (weighted mean of Kα1 and Kα2).
No peak broadening, texture or thermal motion is included.

Principal peaks in the range 15 to 90 degrees two-theta, in order of falling intensity:
| two_theta | I (rel.) |
| --- | --- |
| 41.30 | 100 |
| 39.95 | 32 |
| 38.63 | 28 |
| 39.74 | 19 |
| 73.47 | 18 |
| 32.68 | 16 |

Atomic structure:
Cell lengths 7.7690, 7.7690, 7.7690 Å; angles 146.23, 134.67, 57.71 degrees
Element x y z (fractional)
Hf (0.1884, 0.1884, 0.0000)
Hf (0.8116, 0.8116, 0.0000)
Mg (0.5000, 0.5000, 0.0000)
Pd (0.0909, 0.3578, 0.7331)
Pd (0.2326, 0.0000, 0.2326)
Pd (0.3234, 0.8234, 0.5000)
Pd (0.3753, 0.6422, 0.7331)
Pd (0.6247, 0.3578, 0.2669)
Pd (0.6766, 0.1766, 0.5000)
Pd (0.7674, 0.0000, 0.7674)
Pd (0.9091, 0.6422, 0.2669)

13.
Diffraction record for Ba2Cd6RhAu. The powder diffraction line list is theoretical, not measured: it uses a DFT-relaxed cell (GGA-PBE, Alexandria) and Cu Kα (weighted mean of Kα1 and Kα2).
No peak broadening, texture or thermal motion is included.

Principal peaks in the range 15 to 90 degrees two-theta, in order of falling intensity:
| two_theta | I (rel.) |
| --- | --- |
| 33.76 | 100 |
| 48.52 | 59 |
| 29.13 | 53 |
| 23.69 | 30 |
| 16.70 | 26 |
| 81.00 | 21 |

Atomic structure:
Cell lengths 7.5079, 7.5079, 7.5079 Å; angles 120.11, 119.82, 90.06 degrees
Element x y z (fractional)
Ba (0.2500, 0.2500, 0.0000)
Ba (0.7500, 0.7500, 0.0000)
Cd (0.2544, 0.2458, 0.5002)
Cd (0.2544, 0.7542, 0.0086)
Cd (0.2543, 0.7543, 0.5000)
Cd (0.7457, 0.2457, 0.5000)
Cd (0.7456, 0.2458, 0.9914)
Cd (0.7456, 0.7542, 0.4998)
Rh (0.5000, 0.0000, 0.5000)
Au (0.0000, 0.5000, 0.5000)